For TbPm2HoTl4, a cell relaxed with GGA-PBE gives the theoretical powder diffraction line list in this record (a wavelength of 1.5418 Å).

Crystal structure
Lattice parameters (Å, degrees): 9.411 9.411 9.411 33.50 33.50 33.50
Sites, in units of the cell vectors:
Tb1 0.000 0.000 0.000
Pm1 0.250 0.250 0.250
Pm2 0.750 0.750 0.750
Ho1 0.500 0.500 0.500
Tl1 0.125 0.125 0.125
Tl2 0.375 0.375 0.375
Tl3 0.625 0.625 0.625
Tl4 0.875 0.875 0.875

Top 8 peaks for 10° ≤ 2θ ≤ 90°, in order of rising 2θ:
Position (°2θ), I/Imax
23.17, 2
33.00, 100
47.37, 18
58.94, 39
69.23, 12
78.86, 17
88.04, 1
88.21, 3



For NaRe2Pd, a cell relaxed with GGA-PBE gives the theoretical powder diffraction line list in this record (a wavelength of 1.5418 Å).

Crystal structure
Lattice parameters (Å, degrees): 5.976 5.976 5.976 99.52 99.52 132.02
Sites, in units of the cell vectors:
Na1 0.000 0.000 0.000
Na2 0.750 0.250 0.500
Re1 0.170 0.625 0.045
Re2 0.375 0.420 0.545
Re3 0.580 0.125 0.955
Re4 0.875 0.830 0.455
Pd1 0.250 0.750 0.500
Pd2 0.500 0.500 0.000

Top 8 peaks for 10° ≤ 2θ ≤ 90°, in order of rising 2θ:
Position (°2θ), I/Imax
21.61, 36
23.04, 51
32.81, 100
40.65, 81
46.33, 38
47.08, 29
52.36, 22
53.18, 56



For DyHoCo, a cell relaxed with GGA-PBE gives the theoretical powder diffraction line list in this record (a wavelength of 1.5418 Å).

Crystal structure
Lattice parameters (Å, degrees): 5.674 3.755 7.031 90.00 95.38 90.00
Sites, in units of the cell vectors:
Dy1 0.179 0.250 0.323
Dy2 0.821 0.750 0.677
Ho1 0.346 0.250 0.832
Ho2 0.654 0.750 0.168
Co1 0.133 0.750 0.041
Co2 0.867 0.250 0.959

Top 8 peaks for 10° ≤ 2θ ≤ 90°, in order of rising 2θ:
Position (°2θ), I/Imax
28.55, 100
30.70, 47
31.30, 46
33.07, 46
35.05, 96
35.37, 33
37.56, 36
48.49, 32



For Be13Re2, a cell relaxed with GGA-PBE gives the theoretical powder diffraction line list in this record (a wavelength of 1.5418 Å).

Crystal structure
Lattice parameters (Å, degrees): 6.346 6.346 6.346 57.67 57.67 57.67
Sites, in units of the cell vectors:
Be1 0.000 0.000 0.000
Be2 0.010 0.010 0.657
Be3 0.010 0.657 0.010
Be4 0.226 0.226 0.615
Be5 0.226 0.615 0.226
Be6 0.343 0.990 0.990
Be7 0.385 0.774 0.774
Be8 0.615 0.226 0.226
Be9 0.657 0.010 0.010
Be10 0.774 0.385 0.774
Be11 0.774 0.774 0.385
Be12 0.990 0.343 0.990
Be13 0.990 0.990 0.343
Re1 0.237 0.237 0.237
Re2 0.763 0.763 0.763

Top 8 peaks for 10° ≤ 2θ ≤ 90°, in order of rising 2θ:
Position (°2θ), I/Imax
20.17, 100
28.16, 38
29.18, 43
35.73, 25
40.99, 17
45.41, 21
46.77, 23
51.11, 21